# 1
Structure and calculated X-ray powder pattern of TlSeCl2 (the GGA-PBE geometry in Alexandria; Cu Kα, 1.54184 Å).
Intensities are scaled so that the largest is 100.

Cell and atoms:
a = 4.845 Å, b = 5.787 Å, c = 5.159 Å
α = 90.00°, β = 115.58°, γ = 90.00°
Fractional positions:
Tl 0.000 0.000 0.000
Se 0.961 0.500 0.942
Cl 0.453 0.500 0.779
Cl 0.653 0.000 0.341

Principal peaks in the range 2θ = 10–80°, low angle first:
| hkl | d/Å | Rel. int. |
| --- | --- | --- |
| 0 0 1 | 4.654 | 100 |
| 1 0 0 | 4.371 | 61 |
| 1 0 -1 | 4.223 | 70 |
| 0 2 0 | 2.894 | 55 |
| 1 0 1 | 2.663 | 33 |
| 1 0 -2 | 2.564 | 36 |
| 0 2 1 | 2.457 | 39 |
| 2 0 -1 | 2.420 | 46 |

# 2
Structure and calculated X-ray powder pattern of PmBe2Si2Tc (the GGA-PBE geometry in Alexandria; Cu Kα, 1.54184 Å).
Intensities are scaled so that the largest is 100.

Cell and atoms:
a = 3.897 Å, b = 3.897 Å, c = 6.810 Å
α = 90.00°, β = 90.00°, γ = 120.00°
Fractional positions:
Pm 0.000 0.000 0.000
Be 0.333 0.667 0.337
Be 0.667 0.333 0.663
Si 0.333 0.667 0.705
Si 0.667 0.333 0.295
Tc 0.000 0.000 0.500

Principal peaks in the range 2θ = 10–80°, low angle first:
| hkl | d/Å | Rel. int. |
| --- | --- | --- |
| 0 0 2 | 3.405 | 21 |
| 1 0 0 | 3.375 | 75 |
| 0 1 2 | 2.397 | 100 |
| 1 1 0 | 1.948 | 35 |
| 1 1 2 | 1.691 | 17 |
| 1 0 4 | 1.520 | 18 |
| 2 0 2 | 1.512 | 23 |
| 1 1 4 | 1.282 | 13 |